Diffraction record for Pr3DyBi4. The powder diffractogram is theoretical, not measured: it uses a cell relaxed with GGA-PBE and Cu Kα (weighted mean of Kα1 and Kα2).
Kinematic intensities with the Lorentz-polarization factor, no thermal factor.

Main lines, in order of rising 2θ (2θ from 10° to 90°):
Position (°2θ)  I_rel  index
27.4  100  2 0 1
39.1  79  0 0 2
48.5  29  0 4 2
56.6  14  4 0 2
64.0  38  2 0 3
70.9  28  2 4 3

Crystal structure
```
data_Pr3DyBi4
_chemical_formula_sum 'Pr6 Dy2 Bi8'
_symmetry_space_group_name_H-M 'C m m m'
_symmetry_Int_Tables_number 65
_symmetry_space_group_name_Hall '-C 2 2'
_cell_length_a 9.201
_cell_length_b 13.014
_cell_length_c 4.604
_cell_angle_alpha 90.00
_cell_angle_beta 90.00
_cell_angle_gamma 90.00
loop_
_atom_site_label
_atom_site_fract_x
_atom_site_fract_y
_atom_site_fract_z
_atom_site_occupancy
Pr1 0.000 0.000 0.000 1
Pr2 0.250 0.250 0.500 1
Dy1 0.000 0.500 0.000 1
Bi1 0.000 0.254 0.000 1
Bi2 0.243 0.500 0.500 1
```